# BaBeGa2Ni
Simulated powder diffraction line list, a wavelength of 1.5418 Å. Input: a GGA-PBE-relaxed structure.
Intensities are scaled so that the largest is 100.

Most intense lines, 10° ≤ 2θ ≤ 90°, in order of rising 2θ:
d (Å)  Rel. int.  index
5.886  19  1 0 0
5.354  59  0 0 1
3.961  100  1 0 1
2.943  80  2 0 0
2.677  31  0 0 2
2.579  39  2 0 1
2.362  51  2 1 1
2.081  29  2 2 0
1.980  50  2 0 2
1.940  17  2 2 1
1.643  29  2 2 2
1.181  18  4 2 2

Atomic structure:
a = 5.886 Å, b = 5.886 Å, c = 5.354 Å
α = 90.00°, β = 90.00°, γ = 90.00°
Space group P4/mmm (No. 123)
Inequivalent atoms, fractional coordinates:
1 Ba 0.000 0.000 0.000 (multiplicity 1)
2 Be 0.000 0.000 0.500 (multiplicity 1)
3 Ga 0.000 0.500 0.000 (multiplicity 2)
4 Ni 0.500 0.500 0.500 (multiplicity 1)